# 1
Computed powder diffraction line list
Compound: Zn5Se4S
Radiation: Cu Kα (λ = 1.5418 Å)
Structure: a cell relaxed with PBE
Neutral-atom scattering factors, no anomalous dispersion.

The 10 most intense peaks (2θ from 15° to 90°), by angle:
25.86 deg, I = 1
27.18 deg, I = 100
40.53 deg, I = 1
45.13 deg, I = 73
48.37 deg, I = 1
53.48 deg, I = 43
65.73 deg, I = 11
72.51 deg, I = 16
83.31 deg, I = 22
89.66 deg, I = 13

Crystal structure
Unit cell a=16.571 b=16.571 c=16.571 alpha=13.92 beta=13.92 gamma=13.92
Fractional positions:
Zn 0.000 0.000 0.000
Zn 0.198 0.198 0.198
Zn 0.396 0.396 0.396
Zn 0.599 0.599 0.599
Zn 0.797 0.797 0.797
Se 0.248 0.248 0.248
Se 0.446 0.446 0.446
Se 0.649 0.649 0.649
Se 0.847 0.847 0.847
S 0.048 0.048 0.048

***

# 2
Computed powder diffraction line list
Compound: CsHg
Radiation: Cu Kα (λ = 1.5418 Å)
Structure: a cell relaxed with PBE
Neutral-atom scattering factors, no anomalous dispersion.

The 10 most intense peaks (2θ from 15° to 90°), by angle:
23.89 deg, I = 100
27.63 deg, I = 87
30.02 deg, I = 97
32.78 deg, I = 81
43.39 deg, I = 52
45.24 deg, I = 31
47.03 deg, I = 30
53.42 deg, I = 22
56.81 deg, I = 33
56.98 deg, I = 32

Crystal structure
Unit cell a=5.465 b=5.465 c=28.006 alpha=90.00 beta=90.00 gamma=90.00
Fractional positions:
Cs 0.000 0.250 0.073
Cs 0.000 0.250 0.677
Cs 0.000 0.750 0.323
Cs 0.000 0.750 0.927
Cs 0.500 0.250 0.427
Cs 0.500 0.250 0.823
Cs 0.500 0.750 0.177
Cs 0.500 0.750 0.573
Hg 0.000 0.250 0.221
Hg 0.000 0.250 0.529
Hg 0.000 0.750 0.471
Hg 0.000 0.750 0.779
Hg 0.500 0.250 0.279
Hg 0.500 0.250 0.971
Hg 0.500 0.750 0.029
Hg 0.500 0.750 0.721